(1)
Computed PXRD pattern of Tb2CeSmS4 for Cu Kα, from a crystal structure in Alexandria, relaxed with PBE.
Neutral-atom scattering factors, no anomalous dispersion.

Lattice parameters (Å, degrees): 6.870 3.951 6.913 90.00 109.23 90.00
Sites, in units of the cell vectors:
Tb (0.000, 0.000, 0.000)
Tb (0.500, 0.500, 0.000)
Ce (0.000, 0.500, 0.500)
Sm (0.500, 0.000, 0.500)
S (0.248, 0.500, 0.242)
S (0.254, 0.000, 0.759)
S (0.746, 0.000, 0.241)
S (0.752, 0.500, 0.758)

Top 10 peaks for 2θ from 5° to 70°, by intensity:
2theta	intensity
31.87	100
27.57	58
45.57	24
45.80	24
27.33	20
54.16	13
56.99	12
45.46	12
45.94	12
66.61	12


(2)
Computed PXRD pattern of MgCrSe2 for Cu Kα, from a crystal structure in Alexandria, relaxed with PBE.
Neutral-atom scattering factors, no anomalous dispersion.

Lattice parameters (Å, degrees): 3.845 3.845 5.392 90.00 90.00 90.00
Sites, in units of the cell vectors:
Mg (0.000, 0.000, 0.000)
Cr (0.500, 0.500, 0.500)
Se (0.000, 0.000, 0.500)
Se (0.500, 0.500, 0.000)

Top 10 peaks for 2θ from 5° to 70°, by intensity:
2theta	intensity
32.94	100
47.49	69
33.23	49
59.01	35
47.28	35
28.51	32
69.09	11
56.14	10
69.77	5
56.52	5


(3)
Computed PXRD pattern of NbW7 for Cu Kα, from a crystal structure in Alexandria, relaxed with PBE.
Neutral-atom scattering factors, no anomalous dispersion.

Lattice parameters (Å, degrees): 6.397 6.397 6.397 90.03 90.03 90.03
Sites, in units of the cell vectors:
Nb (0.126, 0.126, 0.126)
Nb (0.874, 0.874, 0.874)
W (0.126, 0.126, 0.624)
W (0.126, 0.624, 0.126)
W (0.126, 0.624, 0.624)
W (0.376, 0.376, 0.376)
W (0.376, 0.376, 0.874)
W (0.376, 0.874, 0.376)
W (0.376, 0.874, 0.874)
W (0.624, 0.126, 0.126)
W (0.624, 0.126, 0.624)
W (0.624, 0.624, 0.126)
W (0.624, 0.624, 0.624)
W (0.874, 0.376, 0.376)
W (0.874, 0.376, 0.874)
W (0.874, 0.874, 0.376)

Top 6 peaks for 2θ from 5° to 70°, by intensity:
2theta	intensity
39.86	100
57.63	17
13.84	1
19.62	1
31.26	1
34.34	1


Q: Which formula does entry 3 have?
A: NbW7


Copy entry 2 word for word.
Computed PXRD pattern of MgCrSe2 for Cu Kα, from a crystal structure in Alexandria, relaxed with PBE.
Neutral-atom scattering factors, no anomalous dispersion.

Lattice parameters (Å, degrees): 3.845 3.845 5.392 90.00 90.00 90.00
Sites, in units of the cell vectors:
Mg (0.000, 0.000, 0.000)
Cr (0.500, 0.500, 0.500)
Se (0.000, 0.000, 0.500)
Se (0.500, 0.500, 0.000)

Top 10 peaks for 2θ from 5° to 70°, by intensity:
2theta	intensity
32.94	100
47.49	69
33.23	49
59.01	35
47.28	35
28.51	32
69.09	11
56.14	10
69.77	5
56.52	5